Entry 1:
Structure and calculated powder diffractogram of KTl3Cr2Cl9 (a cell relaxed with PBE; Cu Kα X-rays).

Largest 10 diffraction maxima, by angle, 2θ = 15–90°:
d_spacing  I (rel.)
5.231  45
3.884  85
3.538  83
2.933  100
2.616  89
2.259  55
2.103  30
2.045  38
1.906  33
1.769  31

a b c (Å): 7.0769 7.0769 10.0402
angles (deg): 90.00 90.00 120.00
Sites, in units of the cell vectors:
K 0.0000 0.0000 0.0000
Tl 0.0000 0.0000 0.5000
Tl 0.3333 0.6667 0.2411
Tl 0.6667 0.3333 0.7589
Cr 0.3333 0.6667 0.6509
Cr 0.6667 0.3333 0.3491
Cl 0.0000 0.5000 0.5000
Cl 0.1726 0.3451 0.7769
Cl 0.1726 0.8274 0.7769
Cl 0.3451 0.1726 0.2231
Cl 0.5000 0.0000 0.5000
Cl 0.5000 0.5000 0.5000
Cl 0.6549 0.8274 0.7769
Cl 0.8274 0.1726 0.2231
Cl 0.8274 0.6549 0.2231

Entry 2:
Structure and calculated powder diffractogram of LiCrCl2 (a cell relaxed with PBE; Cu Kα X-rays).

Largest 10 diffraction maxima, by angle, 2θ = 15–90°:
d_spacing  I (rel.)
4.739  100
3.362  25
2.734  85
2.368  50
2.116  36
1.793  28
1.789  10
1.578  20
1.502  14
1.314  11

a b c (Å): 6.6912 6.6912 6.7239
angles (deg): 90.00 90.00 90.00
Sites, in units of the cell vectors:
Li 0.0000 0.5000 0.0000
Li 0.0000 0.5000 0.5000
Li 0.5000 0.0000 0.0000
Li 0.5000 0.0000 0.5000
Cr 0.0000 0.0000 0.1277
Cr 0.0000 0.0000 0.8723
Cr 0.5000 0.5000 0.3723
Cr 0.5000 0.5000 0.6277
Cl 0.1844 0.3156 0.7500
Cl 0.1844 0.6844 0.2500
Cl 0.3156 0.1844 0.2500
Cl 0.3156 0.8156 0.7500
Cl 0.6844 0.1844 0.7500
Cl 0.6844 0.8156 0.2500
Cl 0.8156 0.3156 0.2500
Cl 0.8156 0.6844 0.7500

Entry 3:
Structure and calculated powder diffractogram of LiCrCl4 (a cell relaxed with PBE; Cu Kα X-rays).

Largest 10 diffraction maxima, by angle, 2θ = 15–90°:
d_spacing  I (rel.)
5.179  23
3.036  23
3.006  25
2.910  25
2.589  48
2.547  100
1.994  16
1.979  24
1.816  55
1.759  15

a b c (Å): 7.2679 7.2679 7.2679
angles (deg): 122.11 118.95 89.11
Sites, in units of the cell vectors:
Li 0.0000 0.0000 0.0000
Li 0.5000 0.0000 0.5000
Cr 0.5000 0.0000 0.0000
Cr 0.5000 0.5000 0.5000
Cl 0.2751 0.2677 0.4926
Cl 0.2751 0.7825 0.0074
Cl 0.2772 0.7470 0.5303
Cl 0.2833 0.2530 0.0303
Cl 0.7167 0.7470 0.9697
Cl 0.7228 0.2530 0.4697
Cl 0.7249 0.2175 0.9926
Cl 0.7249 0.7323 0.5074

Entry 4:
Structure and calculated powder diffractogram of Li5CrCl8 (a cell relaxed with PBE; Cu Kα X-rays).

Largest 10 diffraction maxima, by angle, 2θ = 15–90°:
d_spacing  I (rel.)
4.614  26
4.198  15
2.976  99
2.582  100
2.568  50
1.830  15
1.821  73
1.490  13
1.486  13
1.153  15

a b c (Å): 6.3061 6.3061 7.2878
angles (deg): 90.00 90.00 109.04
Sites, in units of the cell vectors:
Li 0.0000 0.0000 0.0000
Li 0.0000 0.5000 0.2334
Li 0.0000 0.5000 0.7666
Li 0.5000 0.0000 0.2334
Li 0.5000 0.0000 0.7666
Cr 0.0000 0.0000 0.5000
Cl 0.2279 0.2279 0.2701
Cl 0.2279 0.2279 0.7299
Cl 0.2310 0.7690 0.5000
Cl 0.2471 0.7529 0.0000
Cl 0.7529 0.2471 0.0000
Cl 0.7690 0.2310 0.5000
Cl 0.7721 0.7721 0.2701
Cl 0.7721 0.7721 0.7299

Number 2 is which compound? LiCrCl2

Which formula does entry 2 have? LiCrCl2